No. 1
Starting from a crystal structure in Alexandria, relaxed with GGA-PBE, the X-ray powder pattern of BaLi9Pd2 was simulated for Cu Kα (λ = 1.5418 Å).

```
data_BaLi9Pd2
_chemical_formula_sum 'Ba2 Li18 Pd4'
_cell_length_a 8.902
_cell_length_b 8.902
_cell_length_c 8.902
_cell_angle_alpha 100.10
_cell_angle_beta 100.10
_cell_angle_gamma 130.49
_space_group_name_H-M_alt 'P 1'
_space_group_IT_number 1
loop_
_space_group_symop_operation_xyz
'x,y,z'
loop_
_atom_site_label
_atom_site_type_symbol
_atom_site_fract_x
_atom_site_fract_y
_atom_site_fract_z
Ba1 Ba 0.375 0.625 0.750
Ba2 Ba 0.625 0.375 0.250
Li1 Li 0.125 0.875 0.250
Li2 Li 0.155 0.582 0.323
Li3 Li 0.155 0.832 0.573
Li4 Li 0.168 0.241 0.323
Li5 Li 0.168 0.845 0.927
Li6 Li 0.241 0.168 0.823
Li7 Li 0.241 0.418 0.073
Li8 Li 0.418 0.241 0.573
Li9 Li 0.418 0.845 0.177
Li10 Li 0.582 0.155 0.823
Li11 Li 0.582 0.759 0.427
Li12 Li 0.759 0.582 0.927
Li13 Li 0.759 0.832 0.177
Li14 Li 0.832 0.155 0.073
Li15 Li 0.832 0.759 0.677
Li16 Li 0.845 0.168 0.427
Li17 Li 0.845 0.418 0.677
Li18 Li 0.875 0.125 0.750
Pd1 Pd 0.000 0.000 0.000
Pd2 Pd 0.000 0.000 0.500
Pd3 Pd 0.000 0.500 0.000
Pd4 Pd 0.500 0.000 0.500
```

Principal peaks in the range 2θ = 10–90°, low angle first:
15.5°, 5.716 Å, I 19; 21.1°, 4.217 Å, I 100; 26.3°, 3.385 Å, I 13; 28.6°, 3.122 Å, I 26; 30.6°, 2.918 Å, I 42; 31.3°, 2.858 Å, I 28; 34.6°, 2.595 Å, I 16; 37.0°, 2.428 Å, I 14; 42.9°, 2.108 Å, I 22; 44.4°, 2.042 Å, I 15

No. 2
Starting from a crystal structure in Alexandria, relaxed with GGA-PBE, the X-ray powder pattern of Sr4AlZn2 was simulated for Cu Kα (λ = 1.5418 Å).

```
data_Sr4AlZn2
_chemical_formula_sum 'Sr4 Al1 Zn2'
_cell_length_a 9.665
_cell_length_b 9.665
_cell_length_c 9.665
_cell_angle_alpha 33.30
_cell_angle_beta 33.30
_cell_angle_gamma 33.30
_space_group_name_H-M_alt 'P 1'
_space_group_IT_number 1
loop_
_space_group_symop_operation_xyz
'x,y,z'
loop_
_atom_site_label
_atom_site_type_symbol
_atom_site_fract_x
_atom_site_fract_y
_atom_site_fract_z
Sr1 Sr 0.124 0.124 0.124
Sr2 Sr 0.375 0.375 0.375
Sr3 Sr 0.625 0.625 0.625
Sr4 Sr 0.876 0.876 0.876
Al1 Al 0.000 0.000 0.000
Zn1 Zn 0.253 0.253 0.253
Zn2 Zn 0.747 0.747 0.747
```

Principal peaks in the range 2θ = 10–90°, low angle first:
19.6°, 4.527 Å, I 16; 22.6°, 3.928 Å, I 30; 32.1°, 2.785 Å, I 100; 32.3°, 2.770 Å, I 99; 46.2°, 1.964 Å, I 36; 57.2°, 1.611 Å, I 18; 57.5°, 1.602 Å, I 37; 57.6°, 1.599 Å, I 18; 76.6°, 1.244 Å, I 15; 76.9°, 1.240 Å, I 15

No. 3
Starting from a crystal structure in Alexandria, relaxed with GGA-PBE, the X-ray powder pattern of Pm4Sm3Pd2 was simulated for Cu Kα (λ = 1.5418 Å).

```
data_Pm4Sm3Pd2
_chemical_formula_sum 'Pm4 Sm3 Pd2'
_cell_length_a 8.730
_cell_length_b 8.730
_cell_length_c 9.243
_cell_angle_alpha 111.91
_cell_angle_beta 111.91
_cell_angle_gamma 25.31
_space_group_name_H-M_alt 'P 1'
_space_group_IT_number 1
loop_
_space_group_symop_operation_xyz
'x,y,z'
loop_
_atom_site_label
_atom_site_type_symbol
_atom_site_fract_x
_atom_site_fract_y
_atom_site_fract_z
Pm1 Pm 0.129 0.129 0.385
Pm2 Pm 0.268 0.268 0.836
Pm3 Pm 0.732 0.732 0.164
Pm4 Pm 0.871 0.871 0.615
Sm1 Sm 0.428 0.428 0.322
Sm2 Sm 0.500 0.500 0.000
Sm3 Sm 0.572 0.572 0.678
Pd1 Pd 0.118 0.118 0.944
Pd2 Pd 0.882 0.882 0.056
```

Principal peaks in the range 2θ = 10–90°, low angle first:
28.4°, 3.144 Å, I 100; 28.9°, 3.091 Å, I 39; 29.0°, 3.080 Å, I 44; 30.4°, 2.938 Å, I 35; 31.7°, 2.824 Å, I 43; 32.5°, 2.754 Å, I 72; 33.0°, 2.717 Å, I 43; 33.4°, 2.686 Å, I 84; 47.5°, 1.913 Å, I 34; 58.8°, 1.571 Å, I 26

What did the second record say?
Starting from a crystal structure in Alexandria, relaxed with GGA-PBE, the X-ray powder pattern of Sr4AlZn2 was simulated for Cu Kα (λ = 1.5418 Å).

```
data_Sr4AlZn2
_chemical_formula_sum 'Sr4 Al1 Zn2'
_cell_length_a 9.665
_cell_length_b 9.665
_cell_length_c 9.665
_cell_angle_alpha 33.30
_cell_angle_beta 33.30
_cell_angle_gamma 33.30
_space_group_name_H-M_alt 'P 1'
_space_group_IT_number 1
loop_
_space_group_symop_operation_xyz
'x,y,z'
loop_
_atom_site_label
_atom_site_type_symbol
_atom_site_fract_x
_atom_site_fract_y
_atom_site_fract_z
Sr1 Sr 0.124 0.124 0.124
Sr2 Sr 0.375 0.375 0.375
Sr3 Sr 0.625 0.625 0.625
Sr4 Sr 0.876 0.876 0.876
Al1 Al 0.000 0.000 0.000
Zn1 Zn 0.253 0.253 0.253
Zn2 Zn 0.747 0.747 0.747
```

Principal peaks in the range 2θ = 10–90°, low angle first:
19.6°, 4.527 Å, I 16; 22.6°, 3.928 Å, I 30; 32.1°, 2.785 Å, I 100; 32.3°, 2.770 Å, I 99; 46.2°, 1.964 Å, I 36; 57.2°, 1.611 Å, I 18; 57.5°, 1.602 Å, I 37; 57.6°, 1.599 Å, I 18; 76.6°, 1.244 Å, I 15; 76.9°, 1.240 Å, I 15